Record 1
Calculated powder diffractogram of UB4Ru4 for Cu Kα X-rays, from DFT lattice parameters and positions (GGA-PBE).

Atomic structure:
```
UB4Ru4
1.0
-3.743 3.743 7.532
3.743 -3.743 7.532
3.743 3.743 -7.532
U B Ru
4 16 16
Cartesian
3.743 1.871 -1.883 U
0.000 1.871 1.883 U
3.743 1.871 5.649 U
0.000 1.871 9.415 U
1.266 0.821 -0.637 B
1.050 -0.605 3.129 B
2.477 0.821 0.637 B
4.793 -0.605 4.403 B
4.793 0.605 3.129 B
2.477 -0.821 6.895 B
1.050 0.605 4.403 B
1.266 -0.821 8.169 B
2.477 4.563 -0.637 B
2.692 3.137 3.129 B
1.266 4.563 0.637 B
-1.050 3.137 4.403 B
-1.050 4.348 3.129 B
1.266 2.922 6.895 B
2.692 4.348 4.403 B
2.477 2.922 8.169 B
6.631 0.728 -0.950 Ru
2.599 2.725 -4.716 Ru
4.597 0.728 0.950 Ru
2.599 -1.017 4.716 Ru
2.599 1.017 2.816 Ru
0.854 3.014 -0.950 Ru
2.599 4.760 -2.816 Ru
2.888 3.014 0.950 Ru
0.854 0.728 6.582 Ru
1.143 -1.017 10.348 Ru
2.888 0.728 8.482 Ru
1.143 2.725 4.716 Ru
1.143 4.760 2.816 Ru
-0.854 3.014 6.582 Ru
1.143 1.017 12.248 Ru
-2.888 3.014 8.482 Ru
```

Principal peaks in the range 10 to 80 degrees two-theta, in order of rising 2θ:
2θ/deg, I/Imax
23.62, 15
23.77, 18
32.14, 41
33.76, 28
39.74, 44
39.92, 100
40.27, 25
41.71, 15
54.82, 18
71.02, 21

Record 2
Calculated powder diffractogram of V2B2Ru for Cu Kα X-rays, from DFT lattice parameters and positions (GGA-PBE).

Atomic structure:
```
V2B2Ru
1.0
5.674 0.000 0.000
0.000 5.674 0.000
0.000 0.000 6.315
V B Ru
8 8 4
Cartesian
0.919 1.797 0.000 V
1.040 1.917 3.157 V
1.797 4.754 0.000 V
1.917 4.634 3.157 V
3.756 1.040 3.157 V
3.876 0.919 0.000 V
4.634 3.756 3.157 V
4.754 3.876 0.000 V
0.645 3.482 1.579 B
0.645 3.482 4.736 B
2.191 0.645 1.579 B
2.191 0.645 4.736 B
3.482 5.028 1.579 B
3.482 5.028 4.736 B
5.028 2.191 1.579 B
5.028 2.191 4.736 B
0.000 0.000 1.761 Ru
0.000 0.000 4.553 Ru
2.837 2.837 1.396 Ru
2.837 2.837 4.919 Ru
```

Principal peaks in the range 10 to 80 degrees two-theta, in order of rising 2θ:
2θ/deg, I/Imax
22.16, 61
35.38, 28
36.20, 81
42.86, 100
45.20, 32
45.88, 45
50.90, 59
58.46, 14
75.38, 14
77.52, 23

Record 3
Calculated powder diffractogram of V4B4Ru for Cu Kα X-rays, from DFT lattice parameters and positions (GGA-PBE).

Atomic structure:
```
V4B4Ru
1.0
6.590 0.000 0.000
0.000 6.590 0.000
0.000 0.000 4.385
V B Ru
8 8 2
Cartesian
0.458 4.355 0.523 V
1.060 6.132 2.716 V
2.235 3.753 2.716 V
2.837 5.530 0.523 V
3.753 1.060 3.862 V
4.355 2.837 1.669 V
5.530 0.458 1.669 V
6.132 2.235 3.862 V
0.093 4.027 2.652 B
0.731 6.498 0.459 B
2.564 3.388 0.459 B
3.202 5.859 2.652 B
3.388 0.731 1.733 B
4.027 3.202 3.926 B
5.859 0.093 3.926 B
6.498 2.564 1.733 B
1.648 1.648 1.096 Ru
4.943 4.943 3.289 Ru
```

Principal peaks in the range 10 to 80 degrees two-theta, in order of rising 2θ:
2θ/deg, I/Imax
24.38, 35
27.94, 10
34.03, 11
36.74, 100
43.44, 80
44.01, 10
45.73, 12
48.36, 10
63.09, 15
75.29, 19

Record 4
Calculated powder diffractogram of BRu2W3 for Cu Kα X-rays, from DFT lattice parameters and positions (GGA-PBE).

Atomic structure:
```
BRu2W3
1.0
4.409 0.000 0.000
0.000 13.535 0.000
0.000 0.000 2.776
B Ru W
2 4 6
Cartesian
0.000 0.000 0.000 B
2.204 6.767 0.000 B
0.000 1.743 1.388 Ru
0.000 11.792 1.388 Ru
2.204 5.024 1.388 Ru
2.204 8.510 1.388 Ru
0.000 4.192 0.000 W
0.000 6.767 1.388 W
0.000 9.343 0.000 W
2.204 0.000 1.388 W
2.204 2.575 0.000 W
2.204 10.960 0.000 W
```

Principal peaks in the range 10 to 80 degrees two-theta, in order of rising 2θ:
2θ/deg, I/Imax
21.20, 18
34.94, 37
39.05, 63
39.97, 14
40.94, 38
43.43, 100
54.89, 21
64.50, 19
76.30, 19
79.29, 21

Record 5
Calculated powder diffractogram of Y3B7Ru for Cu Kα X-rays, from DFT lattice parameters and positions (GGA-PBE).

Atomic structure:
```
Y3B7Ru
1.0
1.760 -7.883 0.000
1.760 7.883 0.000
0.000 0.000 9.344
Y B Ru
6 14 2
Cartesian
1.760 6.216 5.238 Y
1.760 6.216 8.779 Y
1.760 4.031 2.336 Y
1.760 -4.031 7.008 Y
1.760 -6.216 0.565 Y
1.760 -6.216 4.107 Y
1.760 3.581 4.992 B
1.760 3.581 9.025 B
1.760 2.074 6.085 B
1.760 2.074 7.932 B
1.760 0.663 2.336 B
1.760 0.330 5.573 B
1.760 0.330 8.444 B
1.760 -0.330 0.901 B
1.760 -0.330 3.771 B
1.760 -0.663 7.008 B
1.760 -2.074 1.413 B
1.760 -2.074 3.259 B
1.760 -3.581 0.319 B
1.760 -3.581 4.353 B
1.760 7.028 2.336 Ru
1.760 -7.028 7.008 Ru
```

Principal peaks in the range 10 to 80 degrees two-theta, in order of rising 2θ:
2θ/deg, I/Imax
25.93, 100
29.65, 75
30.87, 72
34.12, 37
38.32, 31
39.03, 96
39.56, 71
42.39, 30
48.55, 28
51.96, 38

Record 6
Calculated powder diffractogram of Y2B10Ru for Cu Kα X-rays, from DFT lattice parameters and positions (GGA-PBE).

Atomic structure:
```
Y2B10Ru
1.0
5.707 0.000 0.000
0.000 11.352 0.000
0.000 0.000 4.172
Y B Ru
4 20 2
Cartesian
1.267 1.478 0.000 Y
1.587 7.154 0.000 Y
4.120 4.198 0.000 Y
4.440 9.874 0.000 Y
0.327 3.491 2.086 B
0.684 10.879 2.086 B
0.766 9.111 2.086 B
1.270 4.329 0.833 B
1.270 4.329 3.340 B
1.583 10.005 0.833 B
1.583 10.005 3.340 B
2.087 3.434 2.086 B
2.170 5.203 2.086 B
2.526 9.167 2.086 B
3.181 2.185 2.086 B
3.537 6.149 2.086 B
3.620 7.918 2.086 B
4.124 1.348 0.833 B
4.124 1.348 3.340 B
4.437 7.024 0.833 B
4.437 7.024 3.340 B
4.941 2.242 2.086 B
5.023 0.473 2.086 B
5.380 7.862 2.086 B
0.000 5.676 2.086 Ru
2.853 0.000 2.086 Ru
```

Principal peaks in the range 10 to 80 degrees two-theta, in order of rising 2θ:
2θ/deg, I/Imax
15.61, 25
17.39, 34
22.09, 50
27.63, 50
30.87, 100
38.21, 69
38.36, 75
43.38, 26
45.05, 45
49.20, 26

Record 7
Calculated powder diffractogram of Y3B9Ru2 for Cu Kα X-rays, from DFT lattice parameters and positions (GGA-PBE).

Atomic structure:
```
Y3B9Ru2
1.0
-1.579 3.951 6.806
1.579 -3.951 6.806
1.579 3.951 -6.806
Y B Ru
3 9 2
Cartesian
0.000 0.000 0.000 Y
0.000 0.000 3.658 Y
0.000 0.000 9.954 Y
1.579 1.464 -1.852 B
1.579 -1.972 5.022 B
1.579 1.464 1.852 B
0.000 1.979 1.784 B
0.000 3.951 0.000 B
1.579 1.972 5.022 B
0.000 2.487 4.954 B
0.000 5.923 1.784 B
0.000 2.487 8.658 B
1.579 2.578 0.000 Ru
0.000 1.373 6.806 Ru
```

Principal peaks in the range 10 to 80 degrees two-theta, in order of rising 2θ:
2θ/deg, I/Imax
13.00, 52
26.08, 45
26.19, 99
30.49, 100
34.68, 37
37.04, 35
39.56, 57
40.62, 93
41.68, 57
46.86, 45

Record 8
Calculated powder diffractogram of YbB4Ru4 for Cu Kα X-rays, from DFT lattice parameters and positions (GGA-PBE).

Atomic structure:
```
YbB4Ru4
1.0
-3.734 3.734 7.562
3.734 -3.734 7.562
3.734 3.734 -7.562
Yb B Ru
4 16 16
Cartesian
3.734 1.867 -1.890 Yb
0.000 1.867 1.890 Yb
3.734 1.867 5.671 Yb
0.000 1.867 9.452 Yb
1.255 0.834 -0.660 B
1.033 -0.612 3.121 B
2.479 0.834 0.660 B
4.768 -0.612 4.441 B
4.768 0.612 3.121 B
2.479 -0.834 6.902 B
1.033 0.612 4.441 B
1.255 -0.834 8.222 B
2.479 4.568 -0.660 B
2.701 3.123 3.121 B
1.255 4.568 0.660 B
-1.033 3.123 4.441 B
-1.033 4.346 3.121 B
1.255 2.900 6.902 B
2.701 4.346 4.441 B
2.479 2.900 8.222 B
6.607 0.744 -0.955 Ru
2.611 2.729 -4.736 Ru
4.596 0.744 0.955 Ru
2.611 -1.005 4.736 Ru
2.611 1.005 2.825 Ru
0.862 2.990 -0.955 Ru
2.611 4.740 -2.825 Ru
2.873 2.990 0.955 Ru
0.862 0.744 6.606 Ru
1.123 -1.005 10.387 Ru
2.873 0.744 8.517 Ru
1.123 2.729 4.736 Ru
1.123 4.740 2.825 Ru
-0.862 2.990 6.606 Ru
1.123 1.005 12.298 Ru
-2.873 2.990 8.517 Ru
```

Principal peaks in the range 10 to 80 degrees two-theta, in order of rising 2θ:
2θ/deg, I/Imax
23.83, 12
32.15, 56
33.74, 22
39.62, 43
39.99, 100
40.22, 34
41.72, 12
64.57, 13
64.84, 13
70.95, 24

Record 9
Calculated powder diffractogram of ZnB2Ru2 for Cu Kα X-rays, from DFT lattice parameters and positions (GGA-PBE).

Atomic structure:
```
ZnB2Ru2
1.0
2.961 0.000 0.000
0.000 12.795 0.000
0.000 0.000 2.858
Zn B Ru
2 4 4
Cartesian
0.000 0.000 0.000 Zn
1.480 6.398 0.000 Zn
0.000 2.677 0.000 B
0.000 10.118 0.000 B
1.480 3.720 0.000 B
1.480 9.075 0.000 B
0.000 4.532 1.429 Ru
0.000 8.264 1.429 Ru
1.480 1.866 1.429 Ru
1.480 10.929 1.429 Ru
```

Principal peaks in the range 10 to 80 degrees two-theta, in order of rising 2θ:
2θ/deg, I/Imax
27.89, 16
31.30, 17
34.36, 24
36.96, 100
42.40, 96
44.63, 74
49.19, 23
68.70, 34
77.46, 22
78.69, 29

Record 10
Calculated powder diffractogram of Zr3B7Ru for Cu Kα X-rays, from DFT lattice parameters and positions (GGA-PBE).

Atomic structure:
```
Zr3B7Ru
1.0
1.682 -7.495 0.000
1.682 7.495 0.000
0.000 0.000 9.131
Zr B Ru
6 14 2
Cartesian
1.682 5.887 5.063 Zr
1.682 5.887 8.633 Zr
1.682 3.782 2.283 Zr
1.682 -3.782 6.848 Zr
1.682 -5.887 0.498 Zr
1.682 -5.887 4.068 Zr
1.682 3.400 4.870 B
1.682 3.400 8.826 B
1.682 2.004 5.942 B
1.682 2.004 7.754 B
1.682 0.868 2.283 B
1.682 0.243 5.407 B
1.682 0.243 8.289 B
1.682 -0.243 0.842 B
1.682 -0.243 3.723 B
1.682 -0.868 6.848 B
1.682 -2.004 1.377 B
1.682 -2.004 3.189 B
1.682 -3.400 0.305 B
1.682 -3.400 4.261 B
1.682 6.753 2.283 Ru
1.682 -6.753 6.848 Ru
```

Principal peaks in the range 10 to 80 degrees two-theta, in order of rising 2θ:
2θ/deg, I/Imax
27.17, 100
30.87, 93
31.73, 64
35.95, 31
37.79, 28
40.30, 28
40.42, 93
41.55, 73
45.12, 33
54.58, 34